(1)
Theoretical powder diffraction line list of Ce4Er for copper Kα, from a structure optimized by DFT (GGA-PBE).
Neutral-atom scattering factors, no anomalous dispersion.

Structure:
Lattice parameters (Å, degrees): 5.6674 5.6674 5.6674 90.00 90.00 90.00
Fractional positions:
Ce (0.0000, 0.0000, 0.0000)
Ce (0.0000, 0.5000, 0.5000)
Ce (0.5000, 0.0000, 0.5000)
Ce (0.5000, 0.5000, 0.0000)
Er (0.5000, 0.5000, 0.5000)

The 8 most intense peaks (2θ from 5° to 70°), sorted by position:
2theta, I_rel, (hkl)
15.64, 28, 1 0 0
22.18, 25, 1 1 0
27.25, 58, 1 1 1
31.57, 100, 2 0 0
35.42, 15, 2 1 0
45.26, 74, 2 2 0
53.64, 26, 3 1 1
56.23, 26, 2 2 2



(2)
Theoretical powder diffraction line list of CeEuEr for copper Kα, from a structure optimized by DFT (GGA-PBE).
Neutral-atom scattering factors, no anomalous dispersion.

Structure:
Lattice parameters (Å, degrees): 3.5722 3.5722 8.9108 90.00 90.00 120.00
Fractional positions:
Ce (0.0000, 0.0000, 0.0000)
Eu (0.3333, 0.6667, 0.6550)
Er (0.6667, 0.3333, 0.3110)

The 8 most intense peaks (2θ from 5° to 70°), sorted by position:
2theta, I_rel, (hkl)
30.09, 34, 0 0 3
30.59, 100, 1 0 1
35.32, 68, 0 1 2
50.48, 24, 1 0 4
51.14, 24, 1 1 0
59.90, 14, 0 1 5
60.48, 28, 1 1 3
60.78, 14, 0 2 1